Computed powder X-ray diffraction pattern of K2CaNd4Nb2O12 for Cu Kα X-rays, from DFT lattice parameters and positions (GGA-PBE).
Intensities are scaled so that the largest is 100.

Most intense lines, 2θ from 5° to 70°, in order of rising 2θ:
hkl 0 0 1, 10.2°, I = 46; hkl 3 1 -1, 25.7°, I = 61; hkl 1 1 2, 28.2°, I = 100; hkl 3 1 -2, 29.1°, I = 40; hkl 0 2 0, 30.5°, I = 41; hkl 2 2 -3, 43.1°, I = 30

Structural model:
a b c (Å): 13.082 5.867 9.143
angles (deg): 90.00 107.89 90.00
Space group Cm (No. 8)
Unique sites:
K (0.000, 0.000, 0.000) x2
K (0.231, 0.000, 0.983) x2
Ca (0.265, 0.500, 0.471) x2
Nd (0.011, 0.000, 0.565) x2
Nd (0.017, 0.500, 0.286) x2
Nd (0.182, 0.500, 0.727) x2
Nd (0.245, 0.000, 0.405) x2
Nb (0.277, 0.500, 0.177) x2
Nb (0.440, 0.000, 0.780) x2
O (0.059, 0.269, 0.782) x4
O (0.122, 0.263, 0.494) x4
O (0.164, 0.277, 0.214) x4
O (0.295, 0.500, 0.981) x2
O (0.347, 0.240, 0.649) x4
O (0.381, 0.270, 0.336) x4
O (0.433, 0.000, 0.983) x2